For Nb5FeMo4, the PBE geometry in Alexandria gives the computed XRD peak list in this record (Cu Kα (λ = 1.5418 Å)).

Main lines, by angle (2θ from 10° to 90°):
| two_theta | d_spacing | intensity | (hkl) |
| --- | --- | --- | --- |
| 35.84 | 2.505 | 2 | 1 0 4 |
| 39.58 | 2.277 | 52 | 1 1 0 |
| 39.77 | 2.266 | 100 | 1 0 5 |
| 57.21 | 1.610 | 17 | 2 0 0 |
| 57.80 | 1.595 | 8 | 0 0 10 |
| 66.90 | 1.399 | 1 | 1 1 9 |
| 71.93 | 1.313 | 33 | 2 1 5 |
| 72.33 | 1.306 | 16 | 1 1 10 |
| 85.24 | 1.139 | 5 | 2 2 0 |
| 85.74 | 1.133 | 10 | 2 0 10 |

Structural model:
Cell lengths 3.2203, 3.2203, 15.9505 Å; angles 90.00, 90.00, 90.00 degrees
Space group P4/mmm (No. 123)
Asymmetric unit:
1 Nb 0.0000 0.0000 0.0000 x1
2 Nb 0.0000 0.0000 0.2040 x2
3 Nb 0.0000 0.0000 0.4053 x2
4 Fe 0.5000 0.5000 0.5000 x1
5 Mo 0.5000 0.5000 0.1014 x2
6 Mo 0.5000 0.5000 0.3056 x2



For NbFe8Mo3, the PBE geometry in Alexandria gives the computed XRD peak list in this record (Cu Kα (λ = 1.5418 Å)).

Main lines, by angle (2θ from 10° to 90°):
| two_theta | d_spacing | intensity | (hkl) |
| --- | --- | --- | --- |
| 38.30 | 2.350 | 50 | 1 1 0 |
| 41.10 | 2.196 | 100 | 1 0 3 |
| 44.52 | 2.035 | 13 | 2 0 0 |
| 45.00 | 2.014 | 96 | 1 1 2 |
| 46.09 | 1.969 | 75 | 0 2 1 |
| 71.16 | 1.325 | 34 | 2 1 3 |
| 73.95 | 1.282 | 20 | 0 3 2 |
| 76.84 | 1.241 | 26 | 0 2 5 |
| 82.02 | 1.175 | 24 | 2 2 0 |
| 89.18 | 1.098 | 11 | 2 0 6 |

Structural model:
Cell lengths 4.6996, 4.6996, 7.8256 Å; angles 90.00, 90.00, 120.00 degrees
Space group P3m1 (No. 156)
Asymmetric unit:
1 Nb 0.0000 0.0000 0.0000 x1
2 Fe 0.1631 0.3263 0.6816 x3
3 Fe 0.3333 0.6667 0.4320 x1
4 Fe 0.3333 0.6667 0.9330 x1
5 Fe 0.5042 0.0085 0.1841 x3
6 Mo 0.0000 0.0000 0.3673 x1
7 Mo 0.6667 0.3333 0.5006 x1
8 Mo 0.6667 0.3333 0.8560 x1



For NdFe10Mo2, the PBE geometry in Alexandria gives the computed XRD peak list in this record (Cu Kα (λ = 1.5418 Å)).

Main lines, by angle (2θ from 10° to 90°):
| two_theta | d_spacing | intensity | (hkl) |
| --- | --- | --- | --- |
| 36.46 | 2.465 | 42 | 1 0 3 |
| 36.67 | 2.451 | 47 | 1 3 0 |
| 38.13 | 2.360 | 30 | 2 0 0 |
| 41.67 | 2.167 | 32 | 0 0 4 |
| 42.01 | 2.151 | 49 | 0 4 0 |
| 42.26 | 2.138 | 85 | 1 2 3 |
| 42.37 | 2.133 | 60 | 1 3 2 |
| 43.71 | 2.071 | 100 | 2 2 0 |
| 48.77 | 1.867 | 38 | 2 2 2 |
| 71.77 | 1.315 | 28 | 3 2 3 |

Structural model:
Cell lengths 4.7206, 8.6028, 8.6692 Å; angles 90.00, 90.00, 90.00 degrees
Space group Immm (No. 71)
Asymmetric unit:
1 Nd 0.0000 0.0000 0.0000 x2
2 Fe 0.0000 0.2765 0.5000 x4
3 Fe 0.0000 0.3589 0.0000 x4
4 Fe 0.0000 0.5000 0.2692 x4
5 Fe 0.2500 0.2500 0.2500 x8
6 Mo 0.0000 0.0000 0.3586 x4



For NdFeSi2Mo, the PBE geometry in Alexandria gives the computed XRD peak list in this record (Cu Kα (λ = 1.5418 Å)).

Main lines, by angle (2θ from 10° to 90°):
| two_theta | d_spacing | intensity | (hkl) |
| --- | --- | --- | --- |
| 23.60 | 3.769 | 35 | 1 0 1 |
| 33.00 | 2.714 | 20 | 0 0 4 |
| 33.32 | 2.689 | 43 | 1 0 3 |
| 35.66 | 2.518 | 100 | 1 1 2 |
| 45.12 | 2.010 | 35 | 2 0 0 |
| 47.60 | 1.910 | 18 | 1 0 5 |
| 57.02 | 1.615 | 16 | 2 0 4 |
| 57.23 | 1.610 | 18 | 2 1 3 |
| 60.68 | 1.526 | 18 | 1 1 6 |
| 77.06 | 1.238 | 20 | 3 1 2 |

Structural model:
Cell lengths 4.0193, 4.0193, 10.8559 Å; angles 90.00, 90.00, 90.00 degrees
Space group I-4m2 (No. 119)
Asymmetric unit:
1 Nd 0.0000 0.0000 0.0000 x2
2 Fe 0.0000 0.5000 0.2500 x2
3 Si 0.0000 0.0000 0.3824 x4
4 Mo 0.0000 0.5000 0.7500 x2



For Fe6Ni23Mo, the PBE geometry in Alexandria gives the computed XRD peak list in this record (Cu Kα (λ = 1.5418 Å)).

Main lines, by angle (2θ from 10° to 90°):
| two_theta | d_spacing | intensity | (hkl) |
| --- | --- | --- | --- |
| 12.74 | 6.949 | 2 | 0 0 2 |
| 17.68 | 5.018 | 2 | 1 1 0 |
| 28.24 | 3.160 | 4 | 2 0 2 |
| 31.31 | 2.857 | 2 | 1 1 4 |
| 38.14 | 2.360 | 2 | 2 2 2 |
| 44.54 | 2.034 | 100 | 2 2 4 |
| 51.51 | 1.774 | 32 | 4 0 0 |
| 52.68 | 1.737 | 15 | 0 0 8 |
| 75.84 | 1.254 | 9 | 4 4 0 |
| 76.79 | 1.241 | 17 | 4 0 8 |

Structural model:
Cell lengths 7.0962, 7.0962, 13.8988 Å; angles 90.00, 90.00, 90.00 degrees
Space group I4/mmm (No. 139)
Asymmetric unit:
1 Fe 0.0000 0.0000 0.2493 x4
2 Fe 0.2459 0.2459 0.5000 x8
3 Ni 0.0000 0.0000 0.5000 x2
4 Ni 0.0000 0.2511 0.3729 x16
5 Ni 0.0000 0.2573 0.1289 x16
6 Ni 0.0000 0.5000 0.0000 x4
7 Ni 0.2500 0.2500 0.2500 x8
8 Mo 0.0000 0.0000 0.0000 x2



For FeNiMo, the PBE geometry in Alexandria gives the computed XRD peak list in this record (Cu Kα (λ = 1.5418 Å)).

Main lines, by angle (2θ from 10° to 90°):
| two_theta | d_spacing | intensity | (hkl) |
| --- | --- | --- | --- |
| 31.10 | 2.876 | 12 | 1 1 1 |
| 39.82 | 2.264 | 17 | 0 3 1 |
| 40.04 | 2.252 | 18 | 0 0 2 |
| 42.56 | 2.124 | 38 | 2 0 0 |
| 45.40 | 1.998 | 100 | 1 3 1 |
| 45.60 | 1.990 | 36 | 1 0 2 |
| 59.86 | 1.545 | 10 | 2 0 2 |
| 72.59 | 1.302 | 13 | 0 3 3 |
| 79.90 | 1.201 | 18 | 3 3 1 |
| 87.95 | 1.110 | 15 | 2 3 3 |

Structural model:
Cell lengths 4.2483, 7.8551, 4.5035 Å; angles 90.00, 90.00, 90.00 degrees
Space group Amm2 (No. 38)
Asymmetric unit:
1 Fe 0.0000 0.1739 0.0000 x4
2 Ni 0.5000 0.1726 0.3397 x4
3 Mo 0.0000 0.0000 0.4763 x2
4 Mo 0.5000 0.0000 0.8602 x2



For Fe4Ni12Mo, the PBE geometry in Alexandria gives the computed XRD peak list in this record (Cu Kα (λ = 1.5418 Å)).

Main lines, by angle (2θ from 10° to 90°):
| two_theta | d_spacing | intensity | (hkl) |
| --- | --- | --- | --- |
| 23.93 | 3.718 | 12 | 2 0 0 |
| 38.28 | 2.351 | 16 | 3 1 0 |
| 42.10 | 2.147 | 100 | 2 2 2 |
| 45.65 | 1.987 | 27 | 3 2 1 |
| 49.00 | 1.859 | 70 | 4 0 0 |
| 52.19 | 1.753 | 14 | 3 3 0 |
| 58.19 | 1.585 | 20 | 3 3 2 |
| 71.82 | 1.314 | 32 | 4 4 0 |
| 86.90 | 1.121 | 20 | 6 2 2 |
| 89.36 | 1.096 | 12 | 6 3 1 |

Structural model:
Cell lengths 7.4358, 7.4358, 7.4358 Å; angles 90.00, 90.00, 90.00 degrees
Space group Im-3m (No. 229)
Asymmetric unit:
1 Fe 0.2500 0.2500 0.2500 x8
2 Ni 0.0000 0.0000 0.3063 x12
3 Ni 0.0000 0.2500 0.5000 x12
4 Mo 0.0000 0.0000 0.0000 x2



For NpFe4Mo, the PBE geometry in Alexandria gives the computed XRD peak list in this record (Cu Kα (λ = 1.5418 Å)).

Main lines, by angle (2θ from 10° to 90°):
| two_theta | d_spacing | intensity | (hkl) |
| --- | --- | --- | --- |
| 10.74 | 8.237 | 32 | 0 0 1 |
| 24.28 | 3.666 | 19 | 0 1 1 |
| 30.79 | 2.904 | 32 | 0 1 2 |
| 38.07 | 2.364 | 54 | 1 1 0 |
| 39.52 | 2.280 | 79 | 0 1 3 |
| 44.18 | 2.050 | 100 | 1 1 2 |
| 45.66 | 1.987 | 38 | 2 0 1 |
| 69.76 | 1.348 | 29 | 1 2 3 |
| 73.03 | 1.296 | 19 | 3 0 2 |
| 73.83 | 1.283 | 24 | 0 2 5 |

Structural model:
Cell lengths 4.7279, 4.7279, 8.2370 Å; angles 90.00, 90.00, 120.00 degrees
Space group P-3m1 (No. 164)
Asymmetric unit:
1 Np 0.3333 0.6667 0.4411 x2
2 Fe 0.0000 0.0000 0.0000 x1
3 Fe 0.0000 0.0000 0.5000 x1
4 Fe 0.1667 0.3334 0.7651 x6
5 Mo 0.3333 0.6667 0.0490 x2